This entry pairs a crystal structure of Y4Co3B6 with its computed powder XRD pattern. Radiation: copper Kα. Structure: a structure optimized by DFT (GGA-PBE).
Neutral-atom scattering factors, no anomalous dispersion.

Most intense lines, 2θ from 15° to 90°, in order of rising 2θ:
hkl 0 0 6, d 3.669, 2θ 24.26, I 24.3
hkl 1 1 0, d 2.668, 2θ 33.59, I 100.0
hkl 1 0 7, d 2.600, 2θ 34.50, I 23.8
hkl 0 1 8, d 2.364, 2θ 38.06, I 22.5
hkl 1 1 6, d 2.158, 2θ 41.87, I 53.1
hkl 3 0 0, d 1.540, 2θ 60.07, I 22.0
hkl 1 1 12, d 1.512, 2θ 61.33, I 10.8
hkl 1 2 8, d 1.475, 2θ 63.04, I 9.4
hkl 3 0 6, d 1.420, 2θ 65.75, I 9.2
hkl 2 2 0, d 1.334, 2θ 70.61, I 10.6

Structure:
Unit cell a=5.3354 b=5.3354 c=22.0141 alpha=90.00 beta=90.00 gamma=120.00
Space group R-3m (No. 166, hexagonal axes)
Symmetry-distinct sites (fractional):
Y  0.0000  0.0000  0.0892 (multiplicity 6)
Y  0.0000  0.0000  0.2444 (multiplicity 6)
Co  0.0000  0.0000  0.3873 (multiplicity 6)
Co  0.0000  0.0000  0.5000 (multiplicity 3)
B  0.0000  0.3321  0.0000 (multiplicity 18)

This entry pairs a crystal structure of ZrCo3B2 with its computed powder XRD pattern. Radiation: copper Kα. Structure: a structure optimized by DFT (GGA-PBE).
Neutral-atom scattering factors, no anomalous dispersion.

Most intense lines, 2θ from 15° to 90°, in order of rising 2θ:
hkl 1 1 3, d 2.458, 2θ 36.56, I 85.1
hkl 2 2 0, d 2.112, 2θ 42.82, I 100.0
hkl 3 0 3, d 1.898, 2θ 47.94, I 49.0
hkl 2 2 3, d 1.731, 2θ 52.89, I 8.7
hkl 0 0 6, d 1.511, 2θ 61.35, I 8.3
hkl 1 4 3, d 1.412, 2θ 66.20, I 28.7
hkl 3 3 3, d 1.276, 2θ 74.33, I 12.2
hkl 2 2 6, d 1.229, 2θ 77.71, I 18.8
hkl 6 0 0, d 1.219, 2θ 78.43, I 16.0
hkl 5 2 3, d 1.092, 2θ 89.79, I 14.0

Structure:
Unit cell a=8.4477 b=8.4477 c=9.0659 alpha=90.00 beta=90.00 gamma=120.00
Space group R-3m (No. 166, hexagonal axes)
Symmetry-distinct sites (fractional):
Zr  0.0000  0.0000  0.0000 (multiplicity 3)
Zr  0.0000  0.0000  0.3303 (multiplicity 6)
Co  0.0000  0.5000  0.5000 (multiplicity 9)
Co  0.0017  0.5008  0.1941 (multiplicity 18)
B  0.0000  0.3755  0.0000 (multiplicity 18)

This entry pairs a crystal structure of ZrCo3B2 with its computed powder XRD pattern. Radiation: copper Kα. Structure: a structure optimized by DFT (GGA-PBE).
Neutral-atom scattering factors, no anomalous dispersion.

Most intense lines, 2θ from 15° to 90°, in order of rising 2θ:
hkl 1 0 1, d 2.463, 2θ 36.49, I 93.7
hkl 2 0 0, d 2.111, 2θ 42.85, I 100.0
hkl 1 1 1, d 1.900, 2θ 47.89, I 55.5
hkl 2 0 1, d 1.732, 2θ 52.85, I 13.5
hkl 0 0 2, d 1.516, 2θ 61.13, I 12.6
hkl 2 1 1, d 1.412, 2θ 66.19, I 30.6
hkl 3 0 1, d 1.276, 2θ 74.32, I 13.9
hkl 2 0 2, d 1.231, 2θ 77.53, I 31.1
hkl 2 2 0, d 1.219, 2θ 78.49, I 17.4
hkl 3 1 1, d 1.092, 2θ 89.80, I 13.2

Structure:
Unit cell a=4.8742 b=4.8742 c=3.0321 alpha=90.00 beta=90.00 gamma=120.00
Space group P6/mmm (No. 191)
Symmetry-distinct sites (fractional):
Zr  0.0000  0.0000  0.0000 (multiplicity 1)
Co  0.0000  0.5000  0.5000 (multiplicity 3)
B  0.3333  0.6667  0.0000 (multiplicity 2)

This entry pairs a crystal structure of Cr2B with its computed powder XRD pattern. Radiation: copper Kα. Structure: a structure optimized by DFT (GGA-PBE).
Neutral-atom scattering factors, no anomalous dispersion.

Most intense lines, 2θ from 15° to 90°, in order of rising 2θ:
hkl 1 1 5, d 2.282, 2θ 39.49, I 53.1
hkl 1 3 1, d 2.095, 2θ 43.18, I 78.2
hkl 2 0 2, d 2.027, 2θ 44.70, I 100.0
hkl 1 3 3, d 1.941, 2θ 46.80, I 23.4
hkl 1 1 7, d 1.812, 2θ 50.36, I 33.0
hkl 0 4 4, d 1.640, 2θ 56.09, I 14.0
hkl 2 2 4, d 1.635, 2θ 56.26, I 25.9
hkl 3 3 1, d 1.215, 2θ 78.77, I 10.9
hkl 2 4 6, d 1.203, 2θ 79.68, I 15.6
hkl 1 3 11, d 1.125, 2θ 86.56, I 10.5

Structure:
Unit cell a=4.218 b=7.342 c=14.600 alpha=90.00 beta=90.00 gamma=90.00
Space group Fddd (No. 70, origin choice 2)
Symmetry-distinct sites (fractional):
Cr  0.125  0.125  0.042 (multiplicity 16)
Cr  0.125  0.291  0.625 (multiplicity 16)
B  0.125  0.125  0.500 (multiplicity 16)

This entry pairs a crystal structure of CrB with its computed powder XRD pattern. Radiation: copper Kα. Structure: a structure optimized by DFT (GGA-PBE).
Neutral-atom scattering factors, no anomalous dispersion.

Most intense lines, 2θ from 15° to 90°, in order of rising 2θ:
hkl 1 0 3, d 2.545, 2θ 35.27, I 72.8
hkl 1 0 5, d 2.135, 2θ 42.34, I 82.2
hkl 1 1 2, d 1.993, 2θ 45.52, I 100.0
hkl 0 0 8, d 1.960, 2θ 46.32, I 25.7
hkl 1 0 7, d 1.776, 2θ 51.46, I 33.8
hkl 1 1 6, d 1.618, 2θ 56.91, I 17.8
hkl 2 0 0, d 1.457, 2θ 63.90, I 28.9
hkl 1 1 10, d 1.248, 2θ 76.32, I 19.0
hkl 2 1 5, d 1.203, 2θ 79.68, I 20.8
hkl 2 0 8, d 1.169, 2θ 82.50, I 15.7

Structure:
Unit cell a=2.914 b=2.914 c=15.681 alpha=90.00 beta=90.00 gamma=90.00
Space group I4_1/amd (No. 141, origin choice 2)
Symmetry-distinct sites (fractional):
Cr  0.000  0.250  0.073 (multiplicity 8)
B  0.000  0.250  0.218 (multiplicity 8)

This entry pairs a crystal structure of CrB4 with its computed powder XRD pattern. Radiation: copper Kα. Structure: a structure optimized by DFT (GGA-PBE).
Neutral-atom scattering factors, no anomalous dispersion.

Most intense lines, 2θ from 15° to 90°, in order of rising 2θ:
hkl 0 1 1, d 3.591, 2θ 24.79, I 100.0
hkl 0 0 2, d 2.744, 2θ 32.63, I 17.7
hkl 1 0 1, d 2.531, 2θ 35.46, I 22.3
hkl 1 1 0, d 2.446, 2θ 36.75, I 63.4
hkl 1 1 2, d 1.826, 2θ 49.95, I 28.9
hkl 0 2 2, d 1.796, 2θ 50.85, I 21.5
hkl 1 2 1, d 1.732, 2θ 52.86, I 41.6
hkl 0 1 3, d 1.707, 2θ 53.69, I 18.2
hkl 1 0 3, d 1.540, 2θ 60.08, I 20.8
hkl 0 3 1, d 1.521, 2θ 60.90, I 13.4

Structure:
Unit cell a=2.853 b=4.749 c=5.488 alpha=90.00 beta=90.00 gamma=90.00
Space group Immm (No. 71)
Symmetry-distinct sites (fractional):
Cr  0.000  0.000  0.000 (multiplicity 2)
B  0.000  0.195  0.342 (multiplicity 8)